The following is a computed powder diffraction line list of EuZnIn3. It was derived from a structure optimized by DFT (PBE), using a wavelength of 1.5418 Å.
Kinematic intensities with the Lorentz-polarization factor, no thermal factor.

Main lines, in order of rising 2θ (10 to 90 degrees two-theta):
- 3.023 Å, I = 36
- 2.903 Å, I = 100
- 2.357 Å, I = 50
- 2.113 Å, I = 24
- 1.573 Å, I = 19
- 1.446 Å, I = 23

Structural model:
```
data_EuZnIn3
_cell_length_a 4.7144
_cell_length_b 4.7144
_cell_length_c 11.8157
_cell_angle_alpha 90.00
_cell_angle_beta 90.00
_cell_angle_gamma 90.00
_space_group_name_H-M_alt 'I 4 m m'
_space_group_IT_number 107
_space_group_name_Hall 'I 4 -2'
loop_
_atom_site_label
_atom_site_type_symbol
_atom_site_fract_x
_atom_site_fract_y
_atom_site_fract_z
Eu1 Eu 0.0000 0.0000 0.0000
Zn1 Zn 0.0000 0.0000 0.3867
In1 In 0.0000 0.0000 0.6059
In2 In 0.0000 0.5000 0.2625
```

---

The following is a computed powder diffraction line list of UAl8Fe4. It was derived from a structure optimized by DFT (PBE), using a wavelength of 1.5418 Å.
Kinematic intensities with the Lorentz-polarization factor, no thermal factor.

Main lines, in order of rising 2θ (10 to 90 degrees two-theta):
- 6.130 Å, I = 35
- 4.331 Å, I = 32
- 3.064 Å, I = 58
- 2.502 Å, I = 25
- 2.166 Å, I = 100
- 1.532 Å, I = 30

Structural model:
```
data_UAl8Fe4
_cell_length_a 8.6684
_cell_length_b 8.6684
_cell_length_c 4.9996
_cell_angle_alpha 90.00
_cell_angle_beta 90.00
_cell_angle_gamma 90.00
_space_group_name_H-M_alt 'I 4/m m m'
_space_group_IT_number 139
_space_group_name_Hall '-I 4 2'
loop_
_atom_site_label
_atom_site_type_symbol
_atom_site_fract_x
_atom_site_fract_y
_atom_site_fract_z
U1 U 0.0000 0.0000 0.0000
Al1 Al 0.0000 0.2186 0.5000
Al2 Al 0.0000 0.3424 0.0000
Fe1 Fe 0.2500 0.2500 0.2500
```

---

Which formula does entry 2 have? UAl8Fe4